Calculated XRD peak list
Compound: Ba4ErRu3O12
Radiation: Cu Kα
Structure: a crystal structure in the Materials Project, relaxed with GGA-PBE
Lines closer than 0.1° are merged.

Top 8 peaks for 15 to 90 degrees two-theta, low angle first:
27.4°, rel. 61.2, (1 0 7)
29.9°, rel. 16.7, (0 1 8)
30.2°, rel. 100.0, (1 1 0)
35.2°, rel. 17.5, (1 0 10)
41.2°, rel. 36.0, (0 2 7)
51.9°, rel. 20.5, (2 1 7)
53.5°, rel. 19.9, (3 0 0)
62.7°, rel. 19.4, (2 2 0)

Structure:
Cell lengths 5.9282, 5.9282, 29.3848 Å; angles 90.00, 90.00, 120.00 degrees
Space group R-3m (No. 166, hexagonal axes)
Unique sites:
Ba  0.0000  0.0000  0.1288
Ba  0.0000  0.0000  0.2860
Er  0.0000  0.0000  0.0000
Ru  0.0000  0.0000  0.4133
Ru  0.0000  0.0000  0.5000
O  0.0154  0.5077  0.2902
O  0.0228  0.5114  0.1241

---

Calculated XRD peak list
Compound: As
Radiation: Cu Kα
Structure: a crystal structure in the Materials Project, relaxed with GGA-PBE
Lines closer than 0.1° are merged.

Top 8 peaks for 15 to 90 degrees two-theta, low angle first:
21.8°, rel. 12.1, (0 0 2)
24.4°, rel. 36.6, (1 0 1)
38.3°, rel. 100.0, (1 1 2)
39.9°, rel. 9.9, (1 0 3)
44.5°, rel. 48.7, (2 0 0)
64.8°, rel. 31.2, (2 2 0)
77.8°, rel. 36.9, (3 1 2)
82.0°, rel. 10.8, (2 2 4)

Structure:
Cell lengths 4.0714, 4.0714, 8.1445 Å; angles 90.00, 90.00, 90.00 degrees
Space group I4/mmm (No. 139)
Unique sites:
As  0.0000  0.0000  0.0000
As  0.0000  0.5000  0.2500

---

Calculated XRD peak list
Compound: K3Tl
Radiation: Cu Kα
Structure: a crystal structure in the Materials Project, relaxed with GGA-PBE
Lines closer than 0.1° are merged.

Top 8 peaks for 15 to 90 degrees two-theta, low angle first:
15.2°, rel. 20.1, (0 0 2)
16.8°, rel. 64.5, (1 0 1)
26.2°, rel. 100.0, (1 1 2)
27.5°, rel. 20.7, (1 0 3)
30.2°, rel. 34.5, (2 0 0)
34.8°, rel. 22.9, (2 1 1)
43.6°, rel. 24.5, (2 0 4)
51.3°, rel. 29.9, (3 1 2)

Structure:
Cell lengths 5.9103, 5.9103, 11.6493 Å; angles 90.00, 90.00, 90.00 degrees
Space group I4/mmm (No. 139)
Unique sites:
K  0.0000  0.0000  0.0000
K  0.0000  0.5000  0.2500
Tl  0.0000  0.0000  0.5000

---

Calculated XRD peak list
Compound: NdGa4Co9
Radiation: Cu Kα
Structure: a crystal structure in the Materials Project, relaxed with GGA-PBE
Lines closer than 0.1° are merged.

Top 8 peaks for 15 to 90 degrees two-theta, low angle first:
34.5°, rel. 38.3, (1 1 4)
35.3°, rel. 28.7, (2 2 2)
35.5°, rel. 27.1, (3 1 0)
38.1°, rel. 61.1, (2 0 4)
38.8°, rel. 100.0, (3 1 2)
46.4°, rel. 45.2, (2 1 5)
47.2°, rel. 61.1, (3 2 3)
47.6°, rel. 71.7, (4 1 1)

Structure:
Cell lengths 7.9867, 7.9867, 11.7099 Å; angles 90.00, 90.00, 90.00 degrees
Space group I4/mcm (No. 140)
Unique sites:
Nd  0.0000  0.0000  0.2500
Ga  0.1799  0.3201  0.1262
Co  0.0000  0.5000  0.0000
Co  0.0612  0.1981  0.5000
Co  0.1133  0.3867  0.3260

---

Calculated XRD peak list
Compound: Na8Si7O18
Radiation: Cu Kα
Structure: a crystal structure in the Materials Project, relaxed with GGA-PBE
Lines closer than 0.1° are merged.

Top 8 peaks for 15 to 90 degrees two-theta, low angle first:
24.6°, rel. 39.5, (2 0 2)
28.1°, rel. 45.1, (2 1 1)
34.2°, rel. 100.0, (0 2 4)
35.9°, rel. 86.0, (2 2 0)
50.4°, rel. 66.1, (4 0 4)
60.1°, rel. 19.6, (2 0 8)
63.4°, rel. 35.2, (2 4 4)
76.1°, rel. 20.3, (4 4 0)

Structure:
Cell lengths 10.0107, 10.0107, 13.1757 Å; angles 90.00, 90.00, 120.00 degrees
Space group R-3m (No. 166, hexagonal axes)
Unique sites:
Na  0.0000  0.0000  0.2362
Na  0.0000  0.5000  0.0000
Na  0.0000  0.5000  0.5000
Si  0.0000  0.0000  0.0000
Si  0.0220  0.5110  0.2389
O  0.0000  0.2656  0.5000
O  0.0834  0.1669  0.0856
O  0.1105  0.2211  0.6769